Theoretical powder XRD pattern of NdAl2Tc2B for Cu Kα, from a crystal structure in Alexandria, relaxed with PBE.
Kinematic intensities with the Lorentz-polarization factor, no thermal factor.

Structure:
abc: 4.274 4.274 5.606
angles: 90.00 90.00 90.00
Sites, in units of the cell vectors:
Nd  0.000  0.000  0.000
Al  0.500  0.500  0.241
Al  0.500  0.500  0.759
Tc  0.000  0.500  0.500
Tc  0.500  0.000  0.500
B  0.000  0.000  0.500

Top 10 peaks for 10 to 90 degrees two-theta, in order of falling intensity:
2θ 33.7, intensity 100; 2θ 42.3, intensity 38; 2θ 26.2, intensity 29; 2θ 38.4, intensity 25; 2θ 31.9, intensity 22; 2θ 71.9, intensity 22; 2θ 54.0, intensity 20; 2θ 58.0, intensity 19; 2θ 58.4, intensity 15; 2θ 20.8, intensity 14